1.
In3SF7: theoretical PXRD pattern (Cu Ka), based on a crystal structure in Alexandria, relaxed with PBE.
Neutral-atom scattering factors, no anomalous dispersion.

Peak list (6 most intense, 2θ = 10–90°, most intense first)
two_theta, Rel. int., hkl
16.25, 1000, 0 0 1
34.24, 758, 0 2 1
14.84, 493, 1 0 0
45.02, 465, 0 2 2
29.94, 303, 2 0 0
22.07, 244, 0 1 1

Structure:
a = 6.8932 Å, b = 6.8932 Å, c = 5.4557 Å
α = 90.00°, β = 90.00°, γ = 120.00°
Space group P3m1 (No. 156)
One atom of each set of equivalent atoms:
In 0.1715 0.3430 0.0000 [3 per cell]
S 0.3333 0.6667 0.2911 [1 per cell]
F 0.0000 0.0000 0.7993 [1 per cell]
F 0.0419 0.5210 0.7926 [3 per cell]
F 0.2951 0.1476 0.1633 [3 per cell]



2.
PrSiP3: theoretical PXRD pattern (Cu Ka), based on a crystal structure in Alexandria, relaxed with PBE.
Neutral-atom scattering factors, no anomalous dispersion.

Peak list (6 most intense, 2θ = 10–90°, most intense first)
two_theta, Rel. int., hkl
22.74, 1000, 1 2 1
25.79, 699, 1 4 1
35.62, 697, 1 8 1
31.22, 425, 0 0 2
30.32, 420, 2 0 0
44.08, 376, 2 0 2

Structure:
a = 5.895 Å, b = 25.530 Å, c = 5.730 Å
α = 90.00°, β = 90.00°, γ = 90.00°
Space group Pna2_1 (No. 33)
One atom of each set of equivalent atoms:
Pr 0.025 0.098 0.000 [4 per cell]
Pr 0.026 0.410 0.501 [4 per cell]
Si 0.056 0.706 0.579 [4 per cell]
Si 0.116 0.209 0.577 [4 per cell]
P 0.019 0.127 0.498 [4 per cell]
P 0.019 0.711 0.971 [4 per cell]
P 0.029 0.376 0.998 [4 per cell]
P 0.082 0.215 0.969 [4 per cell]
P 0.185 0.998 0.703 [4 per cell]
P 0.187 0.998 0.303 [4 per cell]



3.
PtRh3: theoretical PXRD pattern (Cu Ka), based on a crystal structure in Alexandria, relaxed with PBE.
Neutral-atom scattering factors, no anomalous dispersion.

Peak list (6 most intense, 2θ = 10–90°, most intense first)
two_theta, Rel. int., hkl
43.04, 1000, 1 2 1
43.17, 499, 1 0 2
40.27, 404, 2 0 0
75.14, 286, 3 0 2
37.80, 243, 0 2 1
82.51, 200, 2 2 3

Structure:
a = 4.479 Å, b = 5.503 Å, c = 4.742 Å
α = 90.00°, β = 90.00°, γ = 90.00°
Space group Pmmn (No. 59, origin choice 2)
One atom of each set of equivalent atoms:
Pt 0.250 0.250 0.166 [2 per cell]
Rh 0.250 0.501 0.666 [4 per cell]
Rh 0.250 0.750 0.168 [2 per cell]



4.
Pr2Dy12Tm5: theoretical PXRD pattern (Cu Ka), based on a crystal structure in Alexandria, relaxed with PBE.
Neutral-atom scattering factors, no anomalous dispersion.

Peak list (6 most intense, 2θ = 10–90°, most intense first)
two_theta, Rel. int., hkl
31.59, 1000, 2 2 0
31.96, 593, 2 -1 0
32.22, 429, 1 1 -3
31.19, 370, 0 3 0
30.94, 292, 1 2 3
33.79, 278, 2 1 3

Structure:
a = 6.592 Å, b = 8.819 Å, c = 10.908 Å
α = 84.30°, β = 78.90°, γ = 77.73°
Space group P-1 (No. 2)
One atom of each set of equivalent atoms:
Pr 0.158 0.174 0.006 [2 per cell]
Dy 0.092 0.254 0.299 [2 per cell]
Dy 0.124 0.190 0.702 [2 per cell]
Dy 0.234 0.554 0.454 [2 per cell]
Dy 0.321 0.485 0.772 [2 per cell]
Dy 0.371 0.876 0.221 [2 per cell]
Dy 0.387 0.820 0.871 [2 per cell]
Tm 0.000 0.000 0.500 [1 per cell]
Tm 0.243 0.539 0.099 [2 per cell]
Tm 0.478 0.817 0.550 [2 per cell]



5.
NdEu2BeO5: theoretical PXRD pattern (Cu Ka), based on a crystal structure in Alexandria, relaxed with PBE.
Neutral-atom scattering factors, no anomalous dispersion.

Peak list (6 most intense, 2θ = 10–90°, most intense first)
two_theta, Rel. int., hkl
31.15, 1000, 3 0 1
29.60, 826, 1 2 1
30.89, 621, 2 2 0
38.11, 510, 1 2 2
28.74, 478, 1 0 2
40.05, 459, 4 0 1

Structure:
a = 9.577 Å, b = 7.268 Å, c = 6.568 Å
α = 90.00°, β = 90.00°, γ = 90.00°
Space group Pnma (No. 62)
One atom of each set of equivalent atoms:
Nd 0.024 0.250 0.097 [4 per cell]
Eu 0.173 0.023 0.578 [8 per cell]
Be 0.102 0.750 0.307 [4 per cell]
O 0.011 0.750 0.521 [4 per cell]
O 0.070 0.559 0.190 [8 per cell]
O 0.225 0.250 0.863 [4 per cell]
O 0.225 0.750 0.834 [4 per cell]



6.
CaPm7Tm4: theoretical PXRD pattern (Cu Ka), based on a crystal structure in Alexandria, relaxed with PBE.
Neutral-atom scattering factors, no anomalous dispersion.

Peak list (6 most intense, 2θ = 10–90°, most intense first)
two_theta, Rel. int., hkl
31.50, 1000, 2 0 -2
33.18, 964, 2 0 1
30.79, 536, 0 0 3
50.10, 411, -3 2 1
28.51, 329, 1 -2 0
29.13, 292, -1 2 1

Structure:
a = 6.306 Å, b = 7.284 Å, c = 8.960 Å
α = 90.22°, β = 103.52°, γ = 90.01°
Space group P-1 (No. 2)
One atom of each set of equivalent atoms:
Ca 0.000 0.000 0.000 [1 per cell]
Pm 0.000 0.500 0.000 [1 per cell]
Pm 0.225 0.000 0.659 [2 per cell]
Pm 0.284 0.254 0.340 [2 per cell]
Pm 0.498 0.740 0.003 [2 per cell]
Tm 0.219 0.500 0.666 [2 per cell]
Tm 0.280 0.743 0.337 [2 per cell]